1.
Structure and computed powder X-ray diffraction pattern of Nd3Dy2Y6In (a GGA-PBE-relaxed structure; Cu Kα X-rays).
No peak broadening, texture or thermal motion is included.

Principal peaks in the range 5 to 70 degrees two-theta, by angle:
Position (°2θ)  I (rel.)
30.7  100
31.0  32
35.7  66
51.2  24
51.6  23
61.1  27

Structural model:
Unit cell a=6.177 b=6.177 c=11.722 alpha=95.05 beta=95.05 gamma=120.01
Fractional positions:
Nd1 0.000 0.000 0.000
Nd2 0.333 0.667 0.000
Nd3 0.667 0.333 0.000
Dy1 0.166 0.834 0.500
Dy2 0.834 0.166 0.500
Y1 0.093 0.420 0.257
Y2 0.253 0.253 0.743
Y3 0.420 0.093 0.257
Y4 0.580 0.907 0.743
Y5 0.747 0.747 0.257
Y6 0.907 0.580 0.743
In1 0.500 0.500 0.500

***

2.
Structure and computed powder X-ray diffraction pattern of CaLaTl4 (a GGA-PBE-relaxed structure; Cu Kα X-rays).
No peak broadening, texture or thermal motion is included.

Principal peaks in the range 5 to 70 degrees two-theta, by angle:
Position (°2θ)  I (rel.)
29.5  47
30.4  31
31.0  59
33.5  100
35.3  53
37.2  26

Structural model:
Unit cell a=3.766 b=5.083 c=9.437 alpha=90.00 beta=90.05 gamma=90.00
Fractional positions:
Ca1 0.000 0.000 0.000
La1 0.918 0.500 0.501
Tl1 0.347 0.000 0.332
Tl2 0.352 0.000 0.669
Tl3 0.570 0.500 0.836
Tl4 0.575 0.500 0.166